# Li2La2DyIn2
Calculated PXRD pattern, Cu Kα. Input: a cell relaxed with PBE.
No peak broadening, texture or thermal motion is included.

Structure:
Unit cell a=4.8784 b=4.8784 c=26.7055 alpha=90.00 beta=90.00 gamma=120.00
Space group R-3m (No. 166, hexagonal axes)
Unique sites:
Li1 0.0000 0.0000 0.1068 x6
La1 0.0000 0.0000 0.3657 x6
Dy1 0.0000 0.0000 0.5000 x3
In1 0.0000 0.0000 0.2315 x6

Peak list (6 most intense, 15° ≤ 2θ ≤ 90°, by intensity)
(1 0 7), 2θ = 31.60°, rel. 100
(1 1 0), 2θ = 36.85°, rel. 89
(1 0 1), 2θ = 21.29°, rel. 74
(0 1 8), 2θ = 34.23°, rel. 72
(1 1 15), 2θ = 64.84°, rel. 33
(0 2 7), 2θ = 49.31°, rel. 29